HgB2F8: simulated powder diffraction line list (Cu Kα), based on a DFT-relaxed cell (GGA-PBE, Alexandria).

The 12 most intense peaks (5 to 70 degrees two-theta), in order of falling intensity:
d [Å], Position (°2θ), Rel. int.
5.535, 16.01, 100
5.439, 16.30, 39
4.935, 17.97, 37
3.976, 22.36, 31
2.948, 30.32, 28
3.271, 27.26, 24
4.204, 21.14, 21
2.203, 40.97, 16
2.149, 42.04, 16
3.334, 26.74, 16
4.677, 18.98, 15
3.106, 28.74, 15

Cell and atoms:
Cell: 6.7442 6.7442 9.9787 Å, 117.90 117.90 59.42°
Positions (direct):
Hg1 0.0786 0.9214 0.7500
Hg2 0.9214 0.0786 0.2500
B1 0.0726 0.6432 0.4086
B2 0.3568 0.9274 0.0914
B3 0.6432 0.0726 0.9086
B4 0.9274 0.3568 0.5914
F1 0.0411 0.4223 0.3288
F2 0.1118 0.7029 0.3062
F3 0.1299 0.1688 0.5393
F4 0.1688 0.1299 0.0393
F5 0.2750 0.6296 0.5509
F6 0.2971 0.8882 0.1938
F7 0.3704 0.7250 0.9491
F8 0.4223 0.0411 0.8288
F9 0.5777 0.9589 0.1712
F10 0.6296 0.2750 0.0509
F11 0.7029 0.1118 0.8062
F12 0.7250 0.3704 0.4491
F13 0.8312 0.8701 0.9607
F14 0.8701 0.8312 0.4607
F15 0.8882 0.2971 0.6938
F16 0.9589 0.5777 0.6712